Record 1
# YCu3PbSe4
Simulated powder diffractogram, Cu Kα X-rays. Input: a DFT-relaxed cell (PBE, Alexandria).
Lines closer than 0.1° are merged.

The 10 most intense peaks (2θ from 10° to 90°), most intense first:
two_theta, I (rel.)
40.52, 100
24.48, 77
19.94, 47
47.91, 37
73.70, 32
34.90, 24
58.64, 16
64.50, 15
54.52, 14
45.55, 11

Atomic structure:
```
9
Lattice="6.2974 0.0000 0.0000 0.0000 6.2974 0.0000 0.0000 0.0000 6.2974" Properties=species:S:1:pos:R:3 pbc="T T T"
Y 0.0000 0.0000 0.0000
Cu 0.0000 0.0000 3.1487
Cu 0.0000 3.1487 0.0000
Cu 3.1487 0.0000 0.0000
Pb 3.1487 3.1487 3.1487
Se 1.5054 1.5054 1.5054
Se 1.5054 4.7921 4.7921
Se 4.7921 1.5054 4.7921
Se 4.7921 4.7921 1.5054
```



Record 2
# Tm12Cu5Pb
Simulated powder diffractogram, Cu Kα X-rays. Input: a DFT-relaxed cell (PBE, Alexandria).
Lines closer than 0.1° are merged.

The 10 most intense peaks (2θ from 10° to 90°), most intense first:
two_theta, I (rel.)
32.29, 100
34.88, 56
34.29, 55
35.70, 40
60.52, 28
30.26, 28
35.45, 25
29.62, 25
38.63, 24
59.41, 21

Atomic structure:
```
18
Lattice="-4.6618 4.7420 5.0245 4.6618 -4.7420 5.0245 4.6618 4.7420 -5.0245" Properties=species:S:1:pos:R:3 pbc="T T T"
Tm 4.6618 2.9084 -2.7487
Tm 2.6051 1.7081 0.0000
Tm 6.7185 1.7081 0.0000
Tm 1.8236 4.7420 -1.8176
Tm 2.8382 0.0000 3.2069
Tm 0.0000 1.8336 2.2758
Tm 4.6618 2.9084 2.7487
Tm 1.8236 4.7420 1.8176
Tm 2.8382 0.0000 6.8421
Tm -2.0567 3.0338 5.0245
Tm 2.0567 3.0338 5.0245
Tm 0.0000 1.8336 7.7732
Cu 0.0000 0.0000 0.0000
Cu 4.6618 0.0000 1.2136
Cu 0.0000 3.3853 0.0000
Cu 0.0000 6.0987 0.0000
Cu 0.0000 4.7420 3.8109
Pb 0.0000 0.0000 5.0245
```



Record 3
# Tm7Cu2Pb2
Simulated powder diffractogram, Cu Kα X-rays. Input: a DFT-relaxed cell (PBE, Alexandria).
Lines closer than 0.1° are merged.

The 10 most intense peaks (2θ from 10° to 90°), most intense first:
two_theta, I (rel.)
37.78, 100
32.67, 66
29.14, 50
27.22, 45
37.41, 38
30.51, 37
25.30, 36
63.50, 29
33.90, 21
61.71, 20

Atomic structure:
```
11
Lattice="4.0871 -5.4817 0.0000 4.0871 5.4817 0.0000 0.0000 0.0000 6.9331" Properties=species:S:1:pos:R:3 pbc="T T T"
Tm 0.0000 0.0000 0.0000
Tm 2.0435 2.7409 1.7177
Tm 2.0435 2.7409 5.2154
Tm 2.0435 -2.7409 1.7177
Tm 2.0435 -2.7409 5.2154
Tm 4.0871 0.0000 1.6044
Tm 4.0871 0.0000 5.3287
Cu 4.0871 2.3050 0.0000
Cu 4.0871 -2.3050 0.0000
Pb 1.5244 0.0000 3.4666
Pb 6.6497 0.0000 3.4666
```



Record 4
# Y3Cu3Pb4
Simulated powder diffractogram, Cu Kα X-rays. Input: a DFT-relaxed cell (PBE, Alexandria).
Lines closer than 0.1° are merged.

The 10 most intense peaks (2θ from 10° to 90°), most intense first:
two_theta, I (rel.)
34.14, 100
28.73, 52
47.16, 32
45.21, 28
22.16, 24
59.50, 15
57.85, 15
41.08, 13
61.12, 12
70.41, 10

Atomic structure:
```
20
Lattice="-4.9131 4.9131 4.9131 4.9131 -4.9131 4.9131 4.9131 4.9131 -4.9131" Properties=species:S:1:pos:R:3 pbc="T T T"
Y 7.3697 1.2283 0.0000
Y 3.6848 0.0000 2.4566
Y 2.4566 3.6848 0.0000
Y 0.0000 2.4566 3.6848
Y 1.2283 0.0000 7.3697
Y 0.0000 7.3697 1.2283
Cu 4.9131 -2.4566 3.6848
Cu 3.6848 4.9131 -2.4566
Cu 4.9131 2.4566 1.2283
Cu 2.4566 1.2283 4.9131
Cu 1.2283 4.9131 2.4566
Cu -2.4566 3.6848 4.9131
Pb 4.1254 0.7877 -0.7877
Pb 6.5820 -1.6689 1.6689
Pb 0.7877 0.7877 0.7877
Pb 0.7877 -0.7877 4.1254
Pb -0.7877 4.1254 0.7877
Pb 1.6689 6.5820 -1.6689
Pb 3.2443 3.2443 3.2443
Pb -1.6689 1.6689 6.5820
```



Record 5
# ZnCu2Pb
Simulated powder diffractogram, Cu Kα X-rays. Input: a DFT-relaxed cell (PBE, Alexandria).
Lines closer than 0.1° are merged.

The 10 most intense peaks (2θ from 10° to 90°), most intense first:
two_theta, I (rel.)
34.82, 100
42.39, 96
24.85, 69
42.64, 47
36.22, 46
40.94, 46
27.67, 45
38.43, 36
25.23, 32
39.16, 26

Atomic structure:
```
8
Lattice="7.4114 0.0000 0.0000 0.0000 4.2405 0.0000 -2.2115 0.0000 4.6848" Properties=species:S:1:pos:R:3 pbc="T T T"
Zn 0.0000 0.0000 0.0000
Zn 3.7057 2.1202 0.0000
Cu 1.2514 2.1202 0.4856
Cu 0.2428 0.0000 4.1992
Cu 4.9571 0.0000 0.4856
Cu 3.9486 2.1202 4.1992
Pb -1.1057 2.1202 2.3424
Pb 2.6000 0.0000 2.3424
```



Record 6
# Cu5Pd7
Simulated powder diffractogram, Cu Kα X-rays. Input: a DFT-relaxed cell (PBE, Alexandria).
Lines closer than 0.1° are merged.

The 10 most intense peaks (2θ from 10° to 90°), most intense first:
two_theta, I (rel.)
42.50, 100
42.29, 98
41.19, 58
41.09, 53
59.59, 34
75.98, 33
75.54, 16
75.84, 16
78.45, 15
63.40, 14

Atomic structure:
```
12
Lattice="3.6536 -2.1915 0.0000 3.6536 2.1915 0.0000 -0.5466 0.0000 10.5851" Properties=species:S:1:pos:R:3 pbc="T T T"
Cu 0.0000 0.0000 0.0000
Cu -0.3763 0.0000 7.9630
Cu 2.1976 0.0000 4.4730
Cu 4.5631 0.0000 6.1121
Cu 7.1370 0.0000 2.6221
Pd -0.2733 0.0000 5.2926
Pd 2.2997 0.0000 1.9222
Pd 1.9366 0.0000 9.7909
Pd 2.0914 0.0000 7.0425
Pd 4.6693 0.0000 3.5427
Pd 4.8241 0.0000 0.7942
Pd 4.4610 0.0000 8.6629
```